[1]
Na3Tl4: simulated powder XRD pattern (CuKα), based on DFT lattice parameters and positions (GGA-PBE).
Neutral-atom scattering factors, no anomalous dispersion.

Principal peaks in the range 2θ = 10–80°, low angle first:
two_theta	d_spacing	I_rel	hkl
19.1	4.658	68	0 1 1
25.5	3.496	34	1 0 1
31.5	2.836	100	1 1 0
32.4	2.763	94	0 1 7
36.7	2.449	66	1 0 7
53.8	1.705	48	1 2 7

Structural model:
```
data_Na3Tl4
_chemical_formula_sum 'Na6 Tl8'
_cell_length_a 3.535
_cell_length_b 4.751
_cell_length_c 23.773
_cell_angle_alpha 90.00
_cell_angle_beta 90.00
_cell_angle_gamma 90.00
_symmetry_space_group_name_H-M 'I m m m'
_symmetry_Int_Tables_number 71
_symmetry_space_group_name_Hall '-I 2 2'
loop_
_atom_site_label
_atom_site_fract_x
_atom_site_fract_y
_atom_site_fract_z
Na1 0.000 0.000 0.000
Na2 0.000 0.000 0.143
Tl1 0.000 0.000 0.286
Tl2 0.000 0.000 0.429
```

***

[2]
PrScPt2: simulated powder XRD pattern (CuKα), based on DFT lattice parameters and positions (GGA-PBE).
Neutral-atom scattering factors, no anomalous dispersion.

Principal peaks in the range 2θ = 10–80°, low angle first:
two_theta	d_spacing	I_rel	hkl
23.1	3.851	20	1 1 0
25.0	3.556	17	1 0 1
32.4	2.761	17	0 0 2
36.3	2.472	100	1 2 1
37.9	2.374	28	1 0 2
38.8	2.324	29	2 0 0

Structural model:
```
data_PrScPt2
_chemical_formula_sum 'Pr2 Sc2 Pt4'
_cell_length_a 4.647
_cell_length_b 6.878
_cell_length_c 5.523
_cell_angle_alpha 90.00
_cell_angle_beta 90.00
_cell_angle_gamma 90.00
_symmetry_space_group_name_H-M 'P m m n'
_symmetry_Int_Tables_number 59
loop_
_symmetry_equiv_pos_as_xyz
'x,y,z'
'-x,-y,-z'
'-x+1/2,-y+1/2,z'
'x+1/2,y+1/2,-z'
'x+1/2,-y,-z'
'-x+1/2,y,z'
'-x,y+1/2,-z'
'x,-y+1/2,z'
loop_
_atom_site_label
_atom_site_fract_x
_atom_site_fract_y
_atom_site_fract_z
Pr1 0.250 0.250 0.174
Sc1 0.250 0.750 0.328
Pt1 0.250 0.032 0.678
```

***

[3]
Ta5Mo3: simulated powder XRD pattern (CuKα), based on DFT lattice parameters and positions (GGA-PBE).
Neutral-atom scattering factors, no anomalous dispersion.

Principal peaks in the range 2θ = 10–80°, low angle first:
two_theta	d_spacing	I_rel	hkl
38.5	2.336	100	2 2 -1
38.9	2.316	49	2 0 1
39.4	2.285	47	0 4 0
39.7	2.271	92	4 2 0
56.6	1.627	33	2 4 1
71.7	1.316	32	4 6 0

Structural model:
```
data_Ta5Mo3
_chemical_formula_sum 'Ta10 Mo6'
_cell_length_a 10.660
_cell_length_b 9.141
_cell_length_c 2.888
_cell_angle_alpha 90.00
_cell_angle_beta 100.91
_cell_angle_gamma 90.00
_symmetry_space_group_name_H-M 'C 1 m 1'
_symmetry_Int_Tables_number 8
_symmetry_space_group_name_Hall 'C -2y'
loop_
_atom_site_label
_atom_site_fract_x
_atom_site_fract_y
_atom_site_fract_z
Ta1 0.000 0.000 0.000
Ta2 0.009 0.500 0.028
Ta3 0.133 0.251 0.742
Ta4 0.259 0.000 0.480
Mo1 0.257 0.500 0.493
Mo2 0.381 0.251 0.252
```